ScPaV2O8: computed X-ray diffraction stick pattern (Cu Kα), based on a DFT-relaxed cell (GGA+U, Alexandria).
Peak positions follow from Bragg's law for the DFT cell and can differ from measured ones.

Principal peaks in the range 2θ = 10–80°, in order of rising 2θ:
| two_theta | I_rel |
| --- | --- |
| 16.5 | 23.2 |
| 19.3 | 59.7 |
| 24.8 | 18.3 |
| 29.9 | 100.0 |
| 30.5 | 17.6 |
| 40.6 | 22.7 |
| 49.3 | 31.5 |
| 50.9 | 17.4 |
| 57.4 | 20.1 |
| 60.1 | 27.7 |

Cell: 6.472 6.472 6.472 Å, 133.82 133.82 67.36°
Positions (direct):
1 Sc 0.000 0.000 0.000
2 Pa 0.250 0.750 0.500
3 V 0.500 0.500 0.000
4 V 0.750 0.250 0.500
5 O 0.008 0.069 0.408
6 O 0.234 0.679 0.079
7 O 0.321 0.401 0.556
8 O 0.400 0.992 0.061
9 O 0.599 0.155 0.921
10 O 0.661 0.600 0.592
11 O 0.845 0.766 0.444
12 O 0.931 0.339 0.939